Record 1
# IrOs2Pt
Simulated PXRD pattern, copper Kα. Input: DFT lattice parameters and positions (GGA-PBE).
No peak broadening, texture or thermal motion is included.

Largest 6 diffraction maxima, by angle, 2θ from 10° to 80°:
- 40.17 deg, I = 100
- 46.34 deg, I = 16
- 46.92 deg, I = 33
- 68.07 deg, I = 21
- 68.53 deg, I = 11
- 69.04 deg, I = 1

Structural model:
a = 2.739 Å, b = 2.739 Å, c = 7.837 Å
α = 90.00°, β = 90.00°, γ = 90.00°
Sites, in units of the cell vectors:
Ir 0.000 0.000 0.000
Os 0.000 0.000 0.479
Os 0.500 0.500 0.242
Pt 0.500 0.500 0.736

***

Record 2
# Li2PuNpN4
Simulated PXRD pattern, copper Kα. Input: DFT lattice parameters and positions (GGA-PBE).
No peak broadening, texture or thermal motion is included.

Largest 6 diffraction maxima, by angle, 2θ from 10° to 80°:
- 22.10 deg, I = 100
- 31.87 deg, I = 31
- 32.28 deg, I = 22
- 33.51 deg, I = 59
- 41.85 deg, I = 24
- 47.82 deg, I = 27

Structural model:
a = 6.331 Å, b = 6.331 Å, c = 6.331 Å
α = 140.13°, β = 140.13°, γ = 57.65°
Sites, in units of the cell vectors:
Li 0.000 0.000 0.000
Li 0.750 0.250 0.500
Pu 0.500 0.500 0.000
Np 0.250 0.750 0.500
N 0.052 0.552 0.500
N 0.285 0.285 0.000
N 0.448 0.948 0.500
N 0.715 0.715 0.000